Starting from a crystal structure in Alexandria, relaxed with PBE, the XRD peak list of BaCaIn6 was simulated for Cu Kα (λ = 1.5418 Å).
Kinematic intensities with the Lorentz-polarization factor, no thermal factor.

Structural model:
Lattice parameters (Å, degrees): 5.088 7.242 6.485 90.00 90.00 90.00
Atoms (fractional coordinates):
1 Ba 0.000 0.000 0.000
2 Ca 0.500 0.500 0.258
3 In 0.000 0.274 0.476
4 In 0.000 0.500 0.923
5 In 0.000 0.726 0.476
6 In 0.500 0.000 0.403
7 In 0.500 0.280 0.776
8 In 0.500 0.720 0.776

The 6 most intense peaks (10° ≤ 2θ ≤ 80°), by angle:
- hkl 0 2 1, 2θ 28.2, I 24.1
- hkl 1 0 2, 2θ 32.8, I 42.4
- hkl 1 2 1, 2θ 33.4, I 100.0
- hkl 2 0 0, 2θ 35.3, I 31.9
- hkl 1 4 2, 2θ 61.4, I 14.3
- hkl 3 2 1, 2θ 62.1, I 15.8